# AlBiO3
Calculated powder XRD pattern, a wavelength of 1.5418 Å. Input: a crystal structure in the Materials Project, relaxed with PBE.
No peak broadening, texture or thermal motion is included.

Most intense lines, 2θ from 10° to 80°, low angle first:
2θ 14.97, rel. 58.6, (0 0 2)
2θ 29.24, rel. 100.0, (1 1 1)
2θ 30.21, rel. 21.7, (0 0 4)
2θ 32.10, rel. 29.9, (1 1 2)
2θ 36.42, rel. 43.5, (1 1 3)
2θ 48.02, rel. 27.9, (1 1 5)

Cell and atoms:
Unit cell a=6.3238 b=6.3238 c=11.8336 alpha=90.00 beta=90.00 gamma=120.00
Space group P6_3cm (No. 185)
Asymmetric unit:
Al (0.0000, 0.0000, 0.0000) x2
Al (0.3333, 0.6667, 0.0059) x4
Bi (0.0000, 0.3250, 0.2585) x6
O (0.0000, 0.0000, 0.1554) x2
O (0.0000, 0.2534, 0.4383) x6
O (0.0000, 0.4600, 0.0721) x6
O (0.3333, 0.6667, 0.3355) x4